# SrAcIn2Se4
Simulated powder diffractogram, a wavelength of 1.5418 Å. Input: a crystal structure in Alexandria, relaxed with PBE.
Intensities are scaled so that the largest is 100.

Main lines, most intense first (2θ = 10–90°):
2theta	d [Å]	I_rel
28.16	3.168	100
40.24	2.241	63
65.97	1.416	17
65.87	1.418	17
73.23	1.292	15
49.91	1.827	14
49.79	1.831	13
40.31	2.237	13
58.24	1.584	13
24.33	3.659	13
73.07	1.295	11
12.08	7.327	9

Structure:
Cell: 7.760 4.474 7.768 Å, 90.00 109.36 90.00°
Space group P2/m (No. 10)
One atom of each set of equivalent atoms:
Sr 0.000 0.000 0.000 [1 per cell]
Ac 0.000 0.500 0.500 [1 per cell]
In 0.500 0.000 0.500 [1 per cell]
In 0.500 0.500 0.000 [1 per cell]
Se 0.239 0.000 0.739 [2 per cell]
Se 0.243 0.500 0.255 [2 per cell]